[1]
Simulated powder diffractogram
Compound: Pr5Ga3
Radiation: Cu Kα
Structure: DFT lattice parameters and positions (GGA-PBE)
Kinematic intensities with the Lorentz-polarization factor, no thermal factor.

Structural model:
Cell: 7.9506 7.9506 14.6010 Å, 90.00 90.00 90.00°
Space group P4/ncc (No. 130, origin choice 2)
Asymmetric unit:
1 Pr 0.0654 0.5901 0.1028 x16
2 Pr 0.2500 0.2500 0.2189 x4
3 Ga 0.1315 0.6315 0.7500 x8
4 Ga 0.2500 0.2500 0.0033 x4

Most intense lines, 2θ from 5° to 70°, by angle:
- d 3.455, 2θ = 25.8°, intensity 15, (2 1 1)
- d 2.871, 2θ = 31.2°, intensity 100, (2 1 3)
- d 2.811, 2θ = 31.8°, intensity 15, (2 2 0)
- d 2.689, 2θ = 33.3°, intensity 37, (2 0 4)
- d 2.514, 2θ = 35.7°, intensity 43, (3 1 0)
- d 1.793, 2θ = 50.9°, intensity 18, (4 1 3)

[2]
Simulated powder diffractogram
Compound: Pr9Ga4
Radiation: Cu Kα
Structure: DFT lattice parameters and positions (GGA-PBE)
Kinematic intensities with the Lorentz-polarization factor, no thermal factor.

Structural model:
Cell: 12.1711 12.1711 5.2183 Å, 90.00 90.00 90.00°
Space group I4/m (No. 87)
Asymmetric unit:
1 Pr 0.0000 0.0000 0.0000 x2
2 Pr 0.0957 0.3735 0.0000 x8
3 Pr 0.1108 0.1859 0.5000 x8
4 Ga 0.1128 0.7685 0.0000 x8

Most intense lines, 2θ from 5° to 70°, by angle:
- d 3.203, 2θ = 27.9°, intensity 25, (3 0 1)
- d 3.043, 2θ = 29.4°, intensity 14, (4 0 0)
- d 2.834, 2θ = 31.6°, intensity 100, (3 2 1)
- d 2.609, 2θ = 34.4°, intensity 28, (0 0 2)
- d 2.387, 2θ = 37.7°, intensity 17, (1 5 0)
- d 1.546, 2θ = 59.8°, intensity 16, (3 2 3)

[3]
Simulated powder diffractogram
Compound: PrGa3
Radiation: Cu Kα
Structure: DFT lattice parameters and positions (GGA-PBE)
Kinematic intensities with the Lorentz-polarization factor, no thermal factor.

Structural model:
Cell: 6.5292 4.5528 6.5401 Å, 90.00 119.80 90.00°
Space group P2_1/m (No. 11)
Asymmetric unit:
1 Pr 0.1665 0.2500 0.3348 x2
2 Ga 0.2150 0.2500 0.8599 x2
3 Ga 0.3580 0.7500 0.1406 x2
4 Ga 0.3589 0.7500 0.7145 x2

Most intense lines, 2θ from 5° to 70°, by angle:
- d 3.549, 2θ = 25.1°, intensity 30, (1 1 0)
- d 2.835, 2θ = 31.6°, intensity 24, (2 0 0)
- d 2.407, 2θ = 37.4°, intensity 100, (0 1 2)
- d 2.401, 2θ = 37.4°, intensity 48, (2 1 -2)
- d 2.276, 2θ = 39.6°, intensity 31, (0 2 0)
- d 1.774, 2θ = 51.5°, intensity 19, (2 2 -2)

[4]
Simulated powder diffractogram
Compound: Pr5GaTe4
Radiation: Cu Kα
Structure: DFT lattice parameters and positions (GGA-PBE)
Kinematic intensities with the Lorentz-polarization factor, no thermal factor.

Structural model:
Cell: 10.0899 10.0899 6.3661 Å, 90.00 90.00 90.00°
Space group I4/m (No. 87)
Asymmetric unit:
1 Pr 0.0000 0.0000 0.0000 x2
2 Pr 0.0959 0.7159 0.5000 x8
3 Ga 0.0000 0.0000 0.5000 x2
4 Te 0.0946 0.6972 0.0000 x8

Most intense lines, 2θ from 5° to 70°, by angle:
- d 3.188, 2θ = 28.0°, intensity 100, (0 0 2)
- d 2.254, 2θ = 40.0°, intensity 75, (3 1 2)
- d 1.841, 2θ = 49.5°, intensity 26, (2 4 2)
- d 1.595, 2θ = 57.8°, intensity 8, (6 2 0)
- d 1.427, 2θ = 65.4°, intensity 21, (6 2 2)
- d 1.424, 2θ = 65.5°, intensity 12, (3 1 4)